[1]
For La2DyI2N2, a cell relaxed with PBE gives the theoretical X-ray powder pattern in this record (λ = 1.5418 Å (Cu Kα)).
Peak positions follow from Bragg's law for the DFT cell and can differ from measured ones.

Structural model:
```
data_La2DyI2N2
_symmetry_space_group_name_H-M 'P 1'
_symmetry_Int_Tables_number 1
_cell_length_a 10.2076
_cell_length_b 10.2076
_cell_length_c 10.2076
_cell_angle_alpha 154.33
_cell_angle_beta 154.33
_cell_angle_gamma 36.62
loop_
_symmetry_equiv_pos_as_xyz
'x,y,z'
loop_
_atom_site_label
_atom_site_fract_x
_atom_site_fract_y
_atom_site_fract_z
_atom_site_occupancy
La1 0.0782 0.0782 0.0000 1
La2 0.9218 0.9218 0.0000 1
Dy1 0.5000 0.5000 0.0000 1
I1 0.3346 0.3346 0.0000 1
I2 0.6654 0.6654 0.0000 1
N1 0.0000 0.5000 0.5000 1
N2 0.5000 0.0000 0.5000 1
```

Largest 10 diffraction maxima, sorted by position, 2θ from 10° to 90°:
2θ 27.82, 3.207 Å, I 100; 2θ 30.33, 2.947 Å, I 89; 2θ 38.08, 2.363 Å, I 63; 2θ 39.75, 2.268 Å, I 45; 2θ 50.80, 1.797 Å, I 42; 2θ 56.22, 1.636 Å, I 40; 2θ 57.47, 1.604 Å, I 15; 2θ 64.61, 1.443 Å, I 17; 2θ 65.03, 1.434 Å, I 18; 2θ 71.75, 1.316 Å, I 14



[2]
For La2DyPt2I2, a cell relaxed with PBE gives the theoretical X-ray powder pattern in this record (λ = 1.5418 Å (Cu Kα)).
Peak positions follow from Bragg's law for the DFT cell and can differ from measured ones.

Structural model:
```
data_La2DyPt2I2
_symmetry_space_group_name_H-M 'P 1'
_symmetry_Int_Tables_number 1
_cell_length_a 9.1480
_cell_length_b 9.1480
_cell_length_c 9.1480
_cell_angle_alpha 146.48
_cell_angle_beta 146.48
_cell_angle_gamma 48.14
loop_
_symmetry_equiv_pos_as_xyz
'x,y,z'
loop_
_atom_site_label
_atom_site_fract_x
_atom_site_fract_y
_atom_site_fract_z
_atom_site_occupancy
La1 0.1050 0.1050 0.0000 1
La2 0.8950 0.8950 0.0000 1
Dy1 0.5000 0.5000 0.0000 1
Pt1 0.0000 0.5000 0.5000 1
Pt2 0.5000 0.0000 0.5000 1
I1 0.3081 0.3081 0.0000 1
I2 0.6919 0.6919 0.0000 1
```

Largest 10 diffraction maxima, sorted by position, 2θ from 10° to 90°:
2θ 10.59, 8.353 Å, I 100; 2θ 26.16, 3.407 Å, I 34; 2θ 31.70, 2.823 Å, I 82; 2θ 32.17, 2.783 Å, I 44; 2θ 33.98, 2.638 Å, I 85; 2θ 35.69, 2.516 Å, I 24; 2θ 47.15, 1.927 Å, I 54; 2θ 48.82, 1.866 Å, I 31; 2θ 59.67, 1.550 Å, I 19; 2θ 66.22, 1.411 Å, I 23



[3]
For LaDyPtI, a cell relaxed with PBE gives the theoretical X-ray powder pattern in this record (λ = 1.5418 Å (Cu Kα)).
Peak positions follow from Bragg's law for the DFT cell and can differ from measured ones.

Structural model:
```
data_LaDyPtI
_symmetry_space_group_name_H-M 'P 1'
_symmetry_Int_Tables_number 1
_cell_length_a 8.4689
_cell_length_b 8.4689
_cell_length_c 8.4689
_cell_angle_alpha 28.85
_cell_angle_beta 28.85
_cell_angle_gamma 28.85
loop_
_symmetry_equiv_pos_as_xyz
'x,y,z'
loop_
_atom_site_label
_atom_site_fract_x
_atom_site_fract_y
_atom_site_fract_z
_atom_site_occupancy
La1 0.0000 0.0000 0.0000 1
Dy1 0.2088 0.2088 0.2088 1
Pt1 0.6002 0.6002 0.6002 1
I1 0.7748 0.7748 0.7748 1
```

Largest 10 diffraction maxima, sorted by position, 2θ from 10° to 90°:
2θ 10.91, 8.111 Å, I 37; 2θ 25.45, 3.499 Å, I 26; 2θ 30.60, 2.922 Å, I 100; 2θ 35.65, 2.518 Å, I 17; 2θ 42.87, 2.110 Å, I 46; 2θ 44.74, 2.026 Å, I 27; 2θ 53.58, 1.710 Å, I 21; 2θ 55.17, 1.665 Å, I 15; 2θ 63.68, 1.461 Å, I 15; 2θ 70.94, 1.329 Å, I 18



[4]
For Li2DyI6, a cell relaxed with PBE gives the theoretical X-ray powder pattern in this record (λ = 1.5418 Å (Cu Kα)).
Peak positions follow from Bragg's law for the DFT cell and can differ from measured ones.

Structural model:
```
data_Li2DyI6
_symmetry_space_group_name_H-M 'P 1'
_symmetry_Int_Tables_number 1
_cell_length_a 7.4970
_cell_length_b 7.4970
_cell_length_c 13.3723
_cell_angle_alpha 119.28
_cell_angle_beta 119.28
_cell_angle_gamma 35.22
loop_
_symmetry_equiv_pos_as_xyz
'x,y,z'
loop_
_atom_site_label
_atom_site_fract_x
_atom_site_fract_y
_atom_site_fract_z
_atom_site_occupancy
Li1 0.1238 0.1238 0.2033 1
Li2 0.8762 0.8762 0.7967 1
Dy1 0.0000 0.0000 0.5000 1
I1 0.0378 0.0378 0.7400 1
I2 0.3299 0.3299 0.4307 1
I3 0.3664 0.3664 0.9102 1
I4 0.6336 0.6336 0.0898 1
I5 0.6701 0.6701 0.5693 1
I6 0.9622 0.9622 0.2600 1
```

Largest 10 diffraction maxima, sorted by position, 2θ from 10° to 90°:
2θ 14.77, 5.998 Å, I 25; 2θ 20.93, 4.245 Å, I 31; 2θ 23.71, 3.752 Å, I 87; 2θ 26.15, 3.408 Å, I 35; 2θ 26.70, 3.338 Å, I 61; 2θ 27.36, 3.259 Å, I 42; 2θ 29.41, 3.037 Å, I 100; 2θ 39.74, 2.268 Å, I 30; 2θ 40.95, 2.204 Å, I 53; 2θ 42.63, 2.121 Å, I 33



[5]
For Rb2LiDyI6, a cell relaxed with PBE gives the theoretical X-ray powder pattern in this record (λ = 1.5418 Å (Cu Kα)).
Peak positions follow from Bragg's law for the DFT cell and can differ from measured ones.

Structural model:
```
data_Rb2LiDyI6
_symmetry_space_group_name_H-M 'P 1'
_symmetry_Int_Tables_number 1
_cell_length_a 8.3142
_cell_length_b 8.5867
_cell_length_c 14.4559
_cell_angle_alpha 90.00
_cell_angle_beta 124.92
_cell_angle_gamma 90.00
loop_
_symmetry_equiv_pos_as_xyz
'x,y,z'
loop_
_atom_site_label
_atom_site_fract_x
_atom_site_fract_y
_atom_site_fract_z
_atom_site_occupancy
Rb1 0.2292 0.0650 0.2490 1
Rb2 0.2292 0.4350 0.7490 1
Rb3 0.7708 0.5650 0.2510 1
Rb4 0.7708 0.9350 0.7510 1
Li1 0.0000 0.0000 0.5000 1
Li2 0.0000 0.5000 0.0000 1
Dy1 0.5000 0.0000 0.0000 1
Dy2 0.5000 0.5000 0.5000 1
I1 0.1665 0.2028 0.9619 1
I2 0.1665 0.2972 0.4619 1
I3 0.2636 0.7071 0.9643 1
I4 0.2636 0.7929 0.4643 1
I5 0.3229 0.0081 0.7489 1
I6 0.3229 0.4919 0.2489 1
I7 0.6771 0.5081 0.7511 1
I8 0.6771 0.9919 0.2511 1
I9 0.7364 0.2071 0.5357 1
I10 0.7364 0.2929 0.0357 1
I11 0.8335 0.7028 0.5381 1
I12 0.8335 0.7972 0.0381 1
```

Largest 10 diffraction maxima, sorted by position, 2θ from 10° to 90°:
2θ 12.73, 6.954 Å, I 31; 2θ 13.01, 6.804 Å, I 29; 2θ 14.83, 5.973 Å, I 32; 2θ 24.50, 3.633 Å, I 31; 2θ 24.96, 3.568 Å, I 95; 2θ 25.62, 3.477 Å, I 83; 2θ 26.18, 3.403 Å, I 64; 2θ 29.92, 2.987 Å, I 100; 2θ 30.16, 2.963 Å, I 64; 2θ 33.07, 2.709 Å, I 39



[6]
For Li2DyTlI6, a cell relaxed with PBE gives the theoretical X-ray powder pattern in this record (λ = 1.5418 Å (Cu Kα)).
Peak positions follow from Bragg's law for the DFT cell and can differ from measured ones.

Structural model:
```
data_Li2DyTlI6
_symmetry_space_group_name_H-M 'P 1'
_symmetry_Int_Tables_number 1
_cell_length_a 8.5161
_cell_length_b 8.5161
_cell_length_c 8.5161
_cell_angle_alpha 54.85
_cell_angle_beta 54.85
_cell_angle_gamma 54.85
loop_
_symmetry_equiv_pos_as_xyz
'x,y,z'
loop_
_atom_site_label
_atom_site_fract_x
_atom_site_fract_y
_atom_site_fract_z
_atom_site_occupancy
Li1 0.0000 0.0000 0.0000 1
Li2 0.4940 0.4940 0.4940 1
Dy1 0.6791 0.6791 0.6791 1
Tl1 0.1929 0.1929 0.1929 1
I1 0.0886 0.4138 0.7438 1
I2 0.2633 0.8525 0.6510 1
I3 0.4138 0.7438 0.0886 1
I4 0.6510 0.2633 0.8525 1
I5 0.7438 0.0886 0.4138 1
I6 0.8525 0.6510 0.2633 1
```

Largest 10 diffraction maxima, sorted by position, 2θ from 10° to 90°:
2θ 15.40, 5.753 Å, I 44; 2θ 20.99, 4.232 Å, I 31; 2θ 25.86, 3.446 Å, I 100; 2θ 27.52, 3.241 Å, I 31; 2θ 33.77, 2.655 Å, I 62; 2θ 35.95, 2.498 Å, I 15; 2θ 39.81, 2.264 Å, I 40; 2θ 44.19, 2.050 Å, I 24; 2θ 48.09, 1.892 Å, I 16; 2θ 68.42, 1.371 Å, I 15



[7]
For DyLuI, a cell relaxed with PBE gives the theoretical X-ray powder pattern in this record (λ = 1.5418 Å (Cu Kα)).
Peak positions follow from Bragg's law for the DFT cell and can differ from measured ones.

Structural model:
```
data_DyLuI
_symmetry_space_group_name_H-M 'P 1'
_symmetry_Int_Tables_number 1
_cell_length_a 5.3758
_cell_length_b 5.3758
_cell_length_c 3.7248
_cell_angle_alpha 90.00
_cell_angle_beta 90.00
_cell_angle_gamma 120.00
loop_
_symmetry_equiv_pos_as_xyz
'x,y,z'
loop_
_atom_site_label
_atom_site_fract_x
_atom_site_fract_y
_atom_site_fract_z
_atom_site_occupancy
Dy1 0.0000 0.0000 0.0000 1
Lu1 0.6667 0.3333 0.5209 1
I1 0.3333 0.6667 0.7416 1
```

Largest 10 diffraction maxima, sorted by position, 2θ from 10° to 90°:
2θ 30.74, 2.908 Å, I 100; 2θ 33.33, 2.688 Å, I 89; 2θ 45.98, 1.974 Å, I 33; 2θ 52.95, 1.729 Å, I 19; 2θ 57.96, 1.591 Å, I 33; 2θ 59.57, 1.552 Å, I 17; 2θ 64.03, 1.454 Å, I 11; 2θ 70.01, 1.344 Å, I 10; 2θ 74.13, 1.279 Å, I 14; 2θ 78.38, 1.220 Å, I 14



[8]
For DyMg2I6, a cell relaxed with PBE gives the theoretical X-ray powder pattern in this record (λ = 1.5418 Å (Cu Kα)).
Peak positions follow from Bragg's law for the DFT cell and can differ from measured ones.

Structural model:
```
data_DyMg2I6
_symmetry_space_group_name_H-M 'P 1'
_symmetry_Int_Tables_number 1
_cell_length_a 9.0431
_cell_length_b 9.0431
_cell_length_c 9.0431
_cell_angle_alpha 51.91
_cell_angle_beta 51.91
_cell_angle_gamma 51.91
loop_
_symmetry_equiv_pos_as_xyz
'x,y,z'
loop_
_atom_site_label
_atom_site_fract_x
_atom_site_fract_y
_atom_site_fract_z
_atom_site_occupancy
Dy1 0.0000 0.0000 0.0000 1
Mg1 0.2688 0.2688 0.2688 1
Mg2 0.3937 0.3937 0.3937 1
I1 0.0847 0.3838 0.7754 1
I2 0.2251 0.9182 0.6142 1
I3 0.3838 0.7754 0.0847 1
I4 0.6142 0.2251 0.9182 1
I5 0.7754 0.0847 0.3838 1
I6 0.9182 0.6142 0.2251 1
```

Largest 10 diffraction maxima, sorted by position, 2θ from 10° to 90°:
2θ 13.46, 6.579 Å, I 22; 2θ 14.98, 5.916 Å, I 14; 2θ 22.79, 3.902 Å, I 20; 2θ 25.23, 3.530 Å, I 100; 2θ 32.22, 2.779 Å, I 30; 2θ 39.43, 2.285 Å, I 28; 2θ 41.55, 2.174 Å, I 26; 2θ 46.03, 1.972 Å, I 14; 2θ 47.39, 1.918 Å, I 14; 2θ 62.61, 1.484 Å, I 12



[9]
For Nd2DyI6, a cell relaxed with PBE gives the theoretical X-ray powder pattern in this record (λ = 1.5418 Å (Cu Kα)).
Peak positions follow from Bragg's law for the DFT cell and can differ from measured ones.

Structural model:
```
data_Nd2DyI6
_symmetry_space_group_name_H-M 'P 1'
_symmetry_Int_Tables_number 1
_cell_length_a 7.9106
_cell_length_b 7.9106
_cell_length_c 12.1167
_cell_angle_alpha 90.00
_cell_angle_beta 90.00
_cell_angle_gamma 90.00
loop_
_symmetry_equiv_pos_as_xyz
'x,y,z'
loop_
_atom_site_label
_atom_site_fract_x
_atom_site_fract_y
_atom_site_fract_z
_atom_site_occupancy
Nd1 0.0000 0.0000 0.1574 1
Nd2 0.0000 0.0000 0.8426 1
Nd3 0.5000 0.5000 0.3426 1
Nd4 0.5000 0.5000 0.6574 1
Dy1 0.0000 0.0000 0.5000 1
Dy2 0.5000 0.5000 0.0000 1
I1 0.2105 0.2105 0.3359 1
I2 0.2105 0.2105 0.6641 1
I3 0.2251 0.2251 0.0000 1
I4 0.2749 0.7251 0.5000 1
I5 0.2895 0.7105 0.1641 1
I6 0.2895 0.7105 0.8359 1
I7 0.7105 0.2895 0.1641 1
I8 0.7105 0.2895 0.8359 1
I9 0.7251 0.2749 0.5000 1
I10 0.7749 0.7749 0.0000 1
I11 0.7895 0.7895 0.3359 1
I12 0.7895 0.7895 0.6641 1
```

Largest 10 diffraction maxima, sorted by position, 2θ from 10° to 90°:
2θ 15.84, 5.594 Å, I 83; 2θ 25.17, 3.538 Å, I 23; 2θ 27.23, 3.275 Å, I 100; 2θ 32.00, 2.797 Å, I 72; 2θ 33.68, 2.661 Å, I 78; 2θ 40.87, 2.208 Å, I 52; 2θ 42.51, 2.127 Å, I 39; 2θ 45.89, 1.978 Å, I 20; 2θ 56.18, 1.637 Å, I 28; 2θ 67.90, 1.380 Å, I 31



[10]
For NdDyNiI, a cell relaxed with PBE gives the theoretical X-ray powder pattern in this record (λ = 1.5418 Å (Cu Kα)).
Peak positions follow from Bragg's law for the DFT cell and can differ from measured ones.

Structural model:
```
data_NdDyNiI
_symmetry_space_group_name_H-M 'P 1'
_symmetry_Int_Tables_number 1
_cell_length_a 8.2985
_cell_length_b 8.2985
_cell_length_c 8.2985
_cell_angle_alpha 28.38
_cell_angle_beta 28.38
_cell_angle_gamma 28.38
loop_
_symmetry_equiv_pos_as_xyz
'x,y,z'
loop_
_atom_site_label
_atom_site_fract_x
_atom_site_fract_y
_atom_site_fract_z
_atom_site_occupancy
Nd1 0.0000 0.0000 0.0000 1
Dy1 0.2129 0.2129 0.2129 1
Ni1 0.6042 0.6042 0.6042 1
I1 0.7765 0.7765 0.7765 1
```

Largest 10 diffraction maxima, sorted by position, 2θ from 10° to 90°:
2θ 25.55, 3.486 Å, I 19; 2θ 26.37, 3.380 Å, I 15; 2θ 29.43, 3.035 Å, I 47; 2θ 31.55, 2.835 Å, I 100; 2θ 33.79, 2.653 Å, I 17; 2θ 44.53, 2.034 Å, I 47; 2θ 45.91, 1.977 Å, I 19; 2θ 55.60, 1.653 Å, I 20; 2θ 57.05, 1.614 Å, I 23; 2θ 73.87, 1.283 Å, I 17



[11]
For DyI2O6, a cell relaxed with PBE gives the theoretical X-ray powder pattern in this record (λ = 1.5418 Å (Cu Kα)).
Peak positions follow from Bragg's law for the DFT cell and can differ from measured ones.

Structural model:
```
data_DyI2O6
_symmetry_space_group_name_H-M 'P 1'
_symmetry_Int_Tables_number 1
_cell_length_a 7.5994
_cell_length_b 7.5994
_cell_length_c 5.9748
_cell_angle_alpha 98.13
_cell_angle_beta 98.13
_cell_angle_gamma 102.84
loop_
_symmetry_equiv_pos_as_xyz
'x,y,z'
loop_
_atom_site_label
_atom_site_fract_x
_atom_site_fract_y
_atom_site_fract_z
_atom_site_occupancy
Dy1 0.0866 0.9134 0.7500 1
Dy2 0.9134 0.0866 0.2500 1
I1 0.1931 0.4446 0.7893 1
I2 0.4446 0.1931 0.2893 1
I3 0.5554 0.8069 0.7107 1
I4 0.8069 0.5554 0.2107 1
O1 0.0698 0.6326 0.8366 1
O2 0.0815 0.1810 0.6137 1
O3 0.1810 0.0815 0.1137 1
O4 0.2883 0.5088 0.5389 1
O5 0.3674 0.9302 0.6634 1
O6 0.4912 0.7117 0.9611 1
O7 0.5088 0.2883 0.0389 1
O8 0.6326 0.0698 0.3366 1
O9 0.7117 0.4912 0.4611 1
O10 0.8190 0.9185 0.8863 1
O11 0.9185 0.8190 0.3863 1
O12 0.9302 0.3674 0.1634 1
```

Largest 10 diffraction maxima, sorted by position, 2θ from 10° to 90°:
2θ 12.14, 7.289 Å, I 26; 2θ 17.72, 5.006 Å, I 50; 2θ 21.17, 4.196 Å, I 74; 2θ 26.43, 3.373 Å, I 100; 2θ 27.72, 3.218 Å, I 41; 2θ 30.03, 2.975 Å, I 98; 2θ 30.10, 2.969 Å, I 29; 2θ 30.73, 2.910 Å, I 44; 2θ 31.20, 2.867 Å, I 47; 2θ 49.09, 1.856 Å, I 37



[12]
For Dy2IO6, a cell relaxed with PBE gives the theoretical X-ray powder pattern in this record (λ = 1.5418 Å (Cu Kα)).
Peak positions follow from Bragg's law for the DFT cell and can differ from measured ones.

Structural model:
```
data_Dy2IO6
_symmetry_space_group_name_H-M 'P 1'
_symmetry_Int_Tables_number 1
_cell_length_a 6.3130
_cell_length_b 6.3130
_cell_length_c 6.3130
_cell_angle_alpha 57.93
_cell_angle_beta 57.93
_cell_angle_gamma 57.93
loop_
_symmetry_equiv_pos_as_xyz
'x,y,z'
loop_
_atom_site_label
_atom_site_fract_x
_atom_site_fract_y
_atom_site_fract_z
_atom_site_occupancy
Dy1 0.2001 0.2001 0.2001 1
Dy2 0.7999 0.7999 0.7999 1
I1 0.0000 0.0000 0.0000 1
O1 0.0144 0.1041 0.6332 1
O2 0.1041 0.6332 0.0144 1
O3 0.3668 0.9856 0.8959 1
O4 0.6332 0.0144 0.1041 1
O5 0.8959 0.3668 0.9856 1
O6 0.9856 0.8959 0.3668 1
```

Largest 10 diffraction maxima, sorted by position, 2θ from 10° to 90°:
2θ 17.68, 5.018 Å, I 100; 2θ 20.23, 4.390 Å, I 17; 2θ 28.30, 3.153 Å, I 23; 2θ 29.21, 3.057 Å, I 71; 2θ 33.17, 2.701 Å, I 49; 2θ 44.77, 2.024 Å, I 34; 2θ 45.66, 1.987 Å, I 27; 2θ 51.80, 1.765 Å, I 15; 2θ 54.36, 1.688 Å, I 29; 2θ 60.57, 1.529 Å, I 12



[13]
For Dy2I3O, a cell relaxed with PBE gives the theoretical X-ray powder pattern in this record (λ = 1.5418 Å (Cu Kα)).
Peak positions follow from Bragg's law for the DFT cell and can differ from measured ones.

Structural model:
```
data_Dy2I3O
_symmetry_space_group_name_H-M 'P 1'
_symmetry_Int_Tables_number 1
_cell_length_a 10.8063
_cell_length_b 10.8063
_cell_length_c 11.4687
_cell_angle_alpha 112.32
_cell_angle_beta 112.32
_cell_angle_gamma 21.65
loop_
_symmetry_equiv_pos_as_xyz
'x,y,z'
loop_
_atom_site_label
_atom_site_fract_x
_atom_site_fract_y
_atom_site_fract_z
_atom_site_occupancy
Dy1 0.0689 0.0689 0.4710 1
Dy2 0.4275 0.4275 0.2612 1
Dy3 0.5725 0.5725 0.7388 1
Dy4 0.9311 0.9311 0.5290 1
I1 0.1378 0.1378 0.9567 1
I2 0.3139 0.3139 0.3662 1
I3 0.4278 0.4278 0.7408 1
I4 0.5722 0.5722 0.2592 1
I5 0.6861 0.6861 0.6338 1
I6 0.8622 0.8622 0.0433 1
O1 0.0435 0.0435 0.6427 1
O2 0.9565 0.9565 0.3573 1
```

Largest 10 diffraction maxima, sorted by position, 2θ from 10° to 90°:
2θ 18.13, 4.894 Å, I 16; 2θ 25.49, 3.494 Å, I 16; 2θ 26.98, 3.305 Å, I 20; 2θ 29.15, 3.063 Å, I 100; 2θ 36.73, 2.447 Å, I 16; 2θ 37.26, 2.413 Å, I 32; 2θ 38.55, 2.335 Å, I 15; 2θ 39.34, 2.290 Å, I 21; 2θ 40.91, 2.206 Å, I 16; 2θ 44.64, 2.030 Å, I 17



[14]
For TbDy2IO8, a cell relaxed with PBE gives the theoretical X-ray powder pattern in this record (λ = 1.5418 Å (Cu Kα)).
Peak positions follow from Bragg's law for the DFT cell and can differ from measured ones.

Structural model:
```
data_TbDy2IO8
_symmetry_space_group_name_H-M 'P 1'
_symmetry_Int_Tables_number 1
_cell_length_a 5.0323
_cell_length_b 5.0323
_cell_length_c 6.8463
_cell_angle_alpha 90.00
_cell_angle_beta 90.00
_cell_angle_gamma 90.64
loop_
_symmetry_equiv_pos_as_xyz
'x,y,z'
loop_
_atom_site_label
_atom_site_fract_x
_atom_site_fract_y
_atom_site_fract_z
_atom_site_occupancy
Tb1 0.0000 0.0000 0.0000 1
Dy1 0.5000 0.5000 0.2484 1
Dy2 0.5000 0.5000 0.7516 1
I1 0.0000 0.0000 0.5000 1
O1 0.1808 0.8192 0.2930 1
O2 0.1808 0.8192 0.7070 1
O3 0.2683 0.2683 0.5000 1
O4 0.3099 0.3099 0.0000 1
O5 0.6901 0.6901 0.0000 1
O6 0.7317 0.7317 0.5000 1
O7 0.8192 0.1808 0.2930 1
O8 0.8192 0.1808 0.7070 1
```

Largest 10 diffraction maxima, sorted by position, 2θ from 10° to 90°:
2θ 24.88, 3.578 Å, I 58; 2θ 25.17, 3.539 Å, I 54; 2θ 31.61, 2.830 Å, I 100; 2θ 35.69, 2.516 Å, I 29; 2θ 48.25, 1.886 Å, I 40; 2θ 48.57, 1.875 Å, I 37; 2θ 58.17, 1.586 Å, I 10; 2θ 59.91, 1.544 Å, I 10; 2θ 61.57, 1.506 Å, I 22; 2θ 66.02, 1.415 Å, I 11